(1)
Computed XRD peak list of MgCrF6 for Cu Ka, from a DFT-relaxed cell (GGA+U, the Materials Project).

Structure:
```
MgCrF6
1.0
2.6228 1.5143 4.4680
-2.6228 1.5143 4.4680
0.0000 -3.0285 4.4680
Mg Cr F
1 1 6
direct
0.0000 0.0000 0.0000
0.5000 0.5000 0.5000
0.1743 0.7382 0.3463
0.2618 0.6537 0.8257
0.3463 0.1743 0.7382
0.6537 0.8257 0.2618
0.7382 0.3463 0.1743
0.8257 0.2618 0.6537
```

Peak list (6 most intense, 10 to 80 degrees two-theta, by intensity)
2θ/deg, I_rel
23.66, 100
53.90, 28
48.41, 25
39.86, 24
20.64, 15
55.23, 12

=====

(2)
Computed XRD peak list of MgCrF6 for Cu Ka, from a DFT-relaxed cell (GGA+U, the Materials Project).

Structure:
```
MgCrF6
1.0
5.1615 0.0000 0.0000
2.5564 4.4908 0.0000
2.5111 1.5202 4.8209
Mg Cr F
1 1 6
direct
0.0000 0.0000 0.0000
0.7969 0.8124 0.5731
0.0046 0.7751 0.7942
0.1557 0.6250 0.3229
0.4142 0.0219 0.7949
0.6031 0.8937 0.3283
0.7650 0.4249 0.7971
0.8779 0.1701 0.3287
```

Peak list (6 most intense, 10 to 80 degrees two-theta, by intensity)
2θ/deg, I_rel
20.70, 100
20.87, 50
39.57, 22
23.30, 19
18.40, 16
39.24, 14